For Li10Mn3Cr3Co2O16, a GGA+U-relaxed structure gives the computed powder X-ray diffraction pattern in this record (Cu Kα X-rays).

Principal peaks in the range 2θ from 15° to 90°, by intensity:
two_theta  I/Imax  index
17.98  100.0  0 0 2
44.67  65.7  2 -2 3
19.38  64.7  1 -1 1
19.50  63.1  -1 1 1
35.53  58.3  0 2 1
36.03  49.7  2 0 1

Structural model:
a b c (Å): 5.936 6.019 9.872
angles (deg): 91.11 90.76 118.94
Space group P1 (No. 1)
Unique sites:
Li: 0.000 0.000 0.000 (multiplicity 1)
Li: 0.000 0.020 0.500 (multiplicity 1)
Li: 0.186 0.404 0.580 (multiplicity 1)
Li: 0.194 0.816 0.573 (multiplicity 1)
Li: 0.339 0.683 0.800 (multiplicity 1)
Li: 0.385 0.192 0.083 (multiplicity 1)
Li: 0.600 0.797 0.576 (multiplicity 1)
Li: 0.672 0.348 0.300 (multiplicity 1)
Li: 0.783 0.604 0.072 (multiplicity 1)
Li: 0.800 0.193 0.081 (multiplicity 1)
Mn: 0.662 0.840 0.301 (multiplicity 1)
Mn: 0.830 0.669 0.802 (multiplicity 1)
Mn: 0.831 0.178 0.803 (multiplicity 1)
Cr: 0.167 0.841 0.303 (multiplicity 1)
Cr: 0.169 0.347 0.304 (multiplicity 1)
Cr: 0.335 0.175 0.803 (multiplicity 1)
Co: 0.325 0.662 0.047 (multiplicity 1)
Co: 0.662 0.337 0.546 (multiplicity 1)
O: 0.005 0.038 0.687 (multiplicity 1)
O: 0.013 0.516 0.184 (multiplicity 1)
O: 0.025 0.023 0.186 (multiplicity 1)
O: 0.150 0.322 0.920 (multiplicity 1)
O: 0.163 0.846 0.911 (multiplicity 1)
O: 0.313 0.667 0.425 (multiplicity 1)
O: 0.324 0.172 0.421 (multiplicity 1)
O: 0.489 0.981 0.188 (multiplicity 1)
O: 0.490 0.512 0.190 (multiplicity 1)
O: 0.504 0.496 0.690 (multiplicity 1)
O: 0.513 0.024 0.687 (multiplicity 1)
O: 0.656 0.308 0.926 (multiplicity 1)
O: 0.669 0.806 0.929 (multiplicity 1)
O: 0.837 0.174 0.413 (multiplicity 1)
O: 0.837 0.700 0.415 (multiplicity 1)
O: 0.981 0.522 0.679 (multiplicity 1)


For Li4Nb2Cr3Co3O16, a GGA+U-relaxed structure gives the computed powder X-ray diffraction pattern in this record (Cu Kα X-rays).

Principal peaks in the range 2θ from 15° to 90°, by intensity:
two_theta  I/Imax  index
19.56  100.0  2 0 -1
35.49  51.1  3 1 2
32.81  41.1  2 0 3
36.15  38.1  4 0 1
45.12  35.7  2 2 3
59.88  33.7  4 0 -5

Structural model:
a b c (Å): 10.280 5.941 9.661
angles (deg): 90.00 90.01 90.00
Space group Cm (No. 8)
Unique sites:
Li: 0.000 0.000 0.000 (multiplicity 2)
Li: 0.000 0.000 0.500 (multiplicity 2)
Li: 0.174 0.500 0.589 (multiplicity 2)
Li: 0.341 0.000 0.096 (multiplicity 2)
Nb: 0.173 0.500 0.000 (multiplicity 2)
Nb: 0.338 0.000 0.495 (multiplicity 2)
Cr: 0.091 0.255 0.276 (multiplicity 4)
Cr: 0.177 0.000 0.779 (multiplicity 2)
Co: 0.334 0.500 0.277 (multiplicity 2)
Co: 0.420 0.243 0.773 (multiplicity 4)
O: 0.000 0.000 0.185 (multiplicity 2)
O: 0.001 0.000 0.689 (multiplicity 2)
O: 0.025 0.500 0.152 (multiplicity 2)
O: 0.094 0.245 0.902 (multiplicity 4)
O: 0.169 0.000 0.399 (multiplicity 2)
O: 0.176 0.500 0.382 (multiplicity 2)
O: 0.250 0.282 0.156 (multiplicity 4)
O: 0.262 0.219 0.649 (multiplicity 4)
O: 0.337 0.500 0.900 (multiplicity 2)
O: 0.347 0.000 0.881 (multiplicity 2)
O: 0.419 0.253 0.396 (multiplicity 4)
O: 0.487 0.000 0.643 (multiplicity 2)


For Li4Cr3Co3Ni2O16, a GGA+U-relaxed structure gives the computed powder X-ray diffraction pattern in this record (Cu Kα X-rays).

Principal peaks in the range 2θ from 15° to 90°, by intensity:
two_theta  I/Imax  index
20.08  100.0  2 0 -1
18.55  71.3  0 0 2
36.42  62.9  3 1 2
46.22  55.7  4 0 3
37.27  51.6  4 0 -1
61.05  48.8  4 0 5

Structural model:
a b c (Å): 9.958 5.768 9.565
angles (deg): 90.00 90.01 90.00
Space group Cm (No. 8)
Unique sites:
Li: 0.000 0.000 0.000 (multiplicity 2)
Li: 0.001 0.000 0.498 (multiplicity 2)
Li: 0.175 0.500 0.105 (multiplicity 2)
Li: 0.342 0.000 0.600 (multiplicity 2)
Cr: 0.089 0.252 0.782 (multiplicity 4)
Cr: 0.174 0.000 0.282 (multiplicity 2)
Co: 0.336 0.500 0.782 (multiplicity 2)
Co: 0.421 0.247 0.283 (multiplicity 4)
Ni: 0.172 0.500 0.505 (multiplicity 2)
Ni: 0.338 0.000 0.007 (multiplicity 2)
O: 0.000 0.000 0.185 (multiplicity 2)
O: 0.000 0.000 0.682 (multiplicity 2)
O: 0.024 0.500 0.668 (multiplicity 2)
O: 0.084 0.238 0.388 (multiplicity 4)
O: 0.165 0.000 0.889 (multiplicity 2)
O: 0.175 0.500 0.892 (multiplicity 2)
O: 0.248 0.279 0.668 (multiplicity 4)
O: 0.266 0.224 0.170 (multiplicity 4)
O: 0.343 0.000 0.389 (multiplicity 2)
O: 0.346 0.500 0.384 (multiplicity 2)
O: 0.424 0.263 0.887 (multiplicity 4)
O: 0.487 0.000 0.172 (multiplicity 2)